Entry 1:
For Tm3As3Br2O8, a PBE-relaxed structure gives the computed X-ray powder pattern in this record (Cu Kα).
Kinematic intensities with the Lorentz-polarization factor, no thermal factor.

Largest 10 diffraction maxima, low angle first, 2θ from 5° to 70°:
- d = 8.604 Å, I = 57
- d = 3.581 Å, I = 31
- d = 2.910 Å, I = 91
- d = 2.899 Å, I = 100
- d = 2.788 Å, I = 94
- d = 2.758 Å, I = 86
- d = 2.682 Å, I = 61
- d = 2.654 Å, I = 61
- d = 1.969 Å, I = 41
- d = 1.813 Å, I = 28

Cell and atoms:
Cell lengths 5.3251, 8.6043, 10.7645 Å; angles 90.60, 94.70, 90.25 degrees
Fractional coordinates of all 32 atoms:
Tm: 0.2350 0.1951 0.3682
Tm: 0.2376 0.4971 0.1265
Tm: 0.2520 0.4995 0.6283
Tm: 0.7480 0.5005 0.3717
Tm: 0.7624 0.5029 0.8735
Tm: 0.7650 0.8049 0.6318
As: 0.2239 0.7461 0.4025
As: 0.3069 0.7859 0.8474
As: 0.3138 0.2386 0.9009
As: 0.6862 0.7614 0.0991
As: 0.6931 0.2141 0.1526
As: 0.7761 0.2539 0.5975
Br: 0.2003 0.9932 0.1522
Br: 0.2687 0.0044 0.6110
Br: 0.7313 0.9956 0.3890
Br: 0.7997 0.0068 0.8478
O: 0.9999 0.3287 0.4854
O: 0.0001 0.6713 0.5146
O: 0.0433 0.6752 0.7757
O: 0.0788 0.3622 0.9567
O: 0.1194 0.5840 0.3067
O: 0.4233 0.3628 0.7840
O: 0.4360 0.6573 0.9790
O: 0.4830 0.3215 0.2550
O: 0.4943 0.6577 0.4920
O: 0.5057 0.3423 0.5080
O: 0.5170 0.6785 0.7450
O: 0.5640 0.3427 0.0210
O: 0.5767 0.6372 0.2160
O: 0.8806 0.4160 0.6933
O: 0.9212 0.6378 0.0433
O: 0.9567 0.3248 0.2243

Entry 2:
For Nb4CdAsC2, a PBE-relaxed structure gives the computed X-ray powder pattern in this record (Cu Kα).
Kinematic intensities with the Lorentz-polarization factor, no thermal factor.

Largest 10 diffraction maxima, low angle first, 2θ from 5° to 70°:
- d = 2.829 Å, I = 26
- d = 2.658 Å, I = 6
- d = 2.603 Å, I = 8
- d = 2.384 Å, I = 100
- d = 2.215 Å, I = 12
- d = 1.937 Å, I = 5
- d = 1.744 Å, I = 10
- d = 1.633 Å, I = 24
- d = 1.432 Å, I = 8
- d = 1.347 Å, I = 16

Cell and atoms:
Cell lengths 3.2665, 3.2665, 13.2895 Å; angles 90.00, 90.00, 120.00 degrees
Fractional coordinates of all 8 atoms:
Nb: 0.0000 0.0000 0.1414
Nb: 0.0000 0.0000 0.8586
Nb: 0.6667 0.3333 0.3164
Nb: 0.6667 0.3333 0.6836
Cd: 0.0000 0.0000 0.5000
As: 0.6667 0.3333 0.0000
C: 0.3333 0.6667 0.2341
C: 0.3333 0.6667 0.7659

Entry 3:
For Hf4CoAsC2, a PBE-relaxed structure gives the computed X-ray powder pattern in this record (Cu Kα).
Kinematic intensities with the Lorentz-polarization factor, no thermal factor.

Largest 10 diffraction maxima, low angle first, 2θ from 5° to 70°:
- d = 3.212 Å, I = 13
- d = 2.874 Å, I = 27
- d = 2.804 Å, I = 18
- d = 2.386 Å, I = 100
- d = 2.141 Å, I = 20
- d = 1.717 Å, I = 10
- d = 1.659 Å, I = 25
- d = 1.547 Å, I = 12
- d = 1.474 Å, I = 8
- d = 1.362 Å, I = 17

Cell and atoms:
Cell lengths 3.3180, 3.3180, 12.8472 Å; angles 90.00, 90.00, 120.00 degrees
Fractional coordinates of all 8 atoms:
Hf: 0.0000 0.0000 0.1454
Hf: 0.0000 0.0000 0.8546
Hf: 0.6667 0.3333 0.3468
Hf: 0.6667 0.3333 0.6532
Co: 0.6667 0.3333 0.0000
As: 0.0000 0.0000 0.5000
C: 0.3333 0.6667 0.2520
C: 0.3333 0.6667 0.7480

Entry 4:
For FeAs2C4, a PBE-relaxed structure gives the computed X-ray powder pattern in this record (Cu Kα).
Kinematic intensities with the Lorentz-polarization factor, no thermal factor.

Largest 10 diffraction maxima, low angle first, 2θ from 5° to 70°:
- d = 3.328 Å, I = 100
- d = 3.216 Å, I = 27
- d = 2.471 Å, I = 60
- d = 2.369 Å, I = 22
- d = 2.302 Å, I = 26
- d = 2.250 Å, I = 25
- d = 2.023 Å, I = 19
- d = 1.925 Å, I = 25
- d = 1.749 Å, I = 17
- d = 1.436 Å, I = 18

Cell and atoms:
Cell lengths 7.1822, 7.1822, 7.1822 Å; angles 131.88, 64.69, 139.46 degrees
Fractional coordinates of all 14 atoms:
Fe: 0.2500 0.2500 0.0000
Fe: 0.7500 0.7500 0.0000
As: 0.1667 0.6300 0.7967
As: 0.3333 0.1300 0.4632
As: 0.6667 0.8700 0.5368
As: 0.8333 0.3700 0.2033
C: 0.0911 0.1385 0.2296
C: 0.1845 0.2795 0.4640
C: 0.3155 0.7795 0.0949
C: 0.4089 0.6385 0.0474
C: 0.5911 0.3615 0.9526
C: 0.6845 0.2205 0.9051
C: 0.8155 0.7205 0.5360
C: 0.9089 0.8615 0.7704